# Ac2GeO
Calculated XRD peak list, Cu Kα, 1.54184 Å. Input: a DFT-relaxed cell (PBE, Alexandria).
Intensities are scaled so that the largest is 100.

Top 12 peaks for 2θ from 10° to 90°, by intensity:
2θ (°), I/Imax, h k l
25.98, 100, 0 1 2
30.44, 67, 2 0 1
24.51, 65, 1 1 0
26.85, 55, 1 1 1
36.01, 53, 0 2 2
50.95, 36, 2 1 3
39.46, 28, 1 2 1
53.71, 24, 3 1 1
44.60, 21, 0 3 1
17.78, 19, 1 0 1
44.05, 17, 1 2 2
57.41, 16, 1 3 2

Cell and atoms:
```
data_Ac2GeO
_cell_length_a 7.2648
_cell_length_b 7.2648
_cell_length_c 8.1826
_cell_angle_alpha 90.00
_cell_angle_beta 90.00
_cell_angle_gamma 120.00
_symmetry_space_group_name_H-M 'P 31 2 1'
_symmetry_Int_Tables_number 152
_symmetry_space_group_name_Hall 'P 31 2"'
loop_
_atom_site_label
_atom_site_fract_x
_atom_site_fract_y
_atom_site_fract_z
Ac1 0.1036 0.4087 0.3875
Ge1 0.0000 0.6448 0.6667
O1 0.0000 0.5752 0.1667
```